Entry 1:
This entry pairs a crystal structure of Tb2PrSmEr5 with its computed X-ray diffraction stick pattern. Radiation: Cu Kα (λ = 1.5418 Å). Structure: a structure optimized by DFT (GGA-PBE).
Intensities are scaled so that the largest is 100.

Main lines, low angle first (15° ≤ 2θ ≤ 90°):
| two_theta | d [Å] | I (rel.) |
| --- | --- | --- |
| 28.60 | 3.121 | 51 |
| 28.88 | 3.091 | 51 |
| 31.41 | 2.848 | 100 |
| 37.22 | 2.416 | 20 |
| 42.69 | 2.118 | 23 |
| 52.45 | 1.744 | 19 |

Structural model:
```
data_Tb2PrSmEr5
_chemical_formula_sum 'Tb4 Pr2 Sm2 Er10'
_space_group_name_H-M_alt 'P 1'
_space_group_IT_number 1
_cell_length_a 9.725
_cell_length_b 9.725
_cell_length_c 9.725
_cell_angle_alpha 126.02
_cell_angle_beta 126.02
_cell_angle_gamma 79.85
loop_
_space_group_symop_operation_xyz
'x,y,z'
loop_
_atom_site_label
_atom_site_type_symbol
_atom_site_fract_x
_atom_site_fract_y
_atom_site_fract_z
Tb1 Tb 0.114 0.614 0.729
Tb2 Tb 0.386 0.114 0.500
Tb3 Tb 0.614 0.886 0.500
Tb4 Tb 0.886 0.386 0.271
Pr1 Pr 0.250 0.250 0.000
Pr2 Pr 0.750 0.750 0.000
Sm1 Sm 0.250 0.750 0.500
Sm2 Sm 0.750 0.250 0.500
Er1 Er 0.000 0.000 0.000
Er2 Er 0.073 0.162 0.500
Er3 Er 0.162 0.662 0.089
Er4 Er 0.338 0.427 0.500
Er5 Er 0.427 0.927 0.089
Er6 Er 0.500 0.500 0.000
Er7 Er 0.573 0.073 0.911
Er8 Er 0.662 0.573 0.500
Er9 Er 0.838 0.338 0.911
Er10 Er 0.927 0.838 0.500
```

---

Entry 2:
This entry pairs a crystal structure of TbPrSmEr2 with its computed X-ray diffraction stick pattern. Radiation: Cu Kα (λ = 1.5418 Å). Structure: a structure optimized by DFT (GGA-PBE).
Intensities are scaled so that the largest is 100.

Main lines, low angle first (15° ≤ 2θ ≤ 90°):
| two_theta | d [Å] | I (rel.) |
| --- | --- | --- |
| 26.20 | 3.401 | 38 |
| 29.28 | 3.050 | 46 |
| 30.98 | 2.887 | 48 |
| 32.79 | 2.731 | 100 |
| 35.82 | 2.507 | 42 |
| 45.72 | 1.984 | 49 |

Structural model:
```
data_TbPrSmEr2
_chemical_formula_sum 'Tb2 Pr2 Sm2 Er4'
_space_group_name_H-M_alt 'P 1'
_space_group_IT_number 1
_cell_length_a 7.145
_cell_length_b 7.145
_cell_length_c 7.185
_cell_angle_alpha 90.00
_cell_angle_beta 90.00
_cell_angle_gamma 107.81
loop_
_space_group_symop_operation_xyz
'x,y,z'
loop_
_atom_site_label
_atom_site_type_symbol
_atom_site_fract_x
_atom_site_fract_y
_atom_site_fract_z
Tb1 Tb 0.221 0.779 0.750
Tb2 Tb 0.779 0.221 0.250
Pr1 Pr 0.230 0.770 0.250
Pr2 Pr 0.770 0.230 0.750
Sm1 Sm 0.498 0.502 0.750
Sm2 Sm 0.502 0.498 0.250
Er1 Er 0.187 0.187 0.000
Er2 Er 0.187 0.187 0.500
Er3 Er 0.813 0.813 0.000
Er4 Er 0.813 0.813 0.500
```

---

What did the second record say?
This entry pairs a crystal structure of TbPrSmEr2 with its computed X-ray diffraction stick pattern. Radiation: Cu Kα (λ = 1.5418 Å). Structure: a structure optimized by DFT (GGA-PBE).
Intensities are scaled so that the largest is 100.

Main lines, low angle first (15° ≤ 2θ ≤ 90°):
| two_theta | d [Å] | I (rel.) |
| --- | --- | --- |
| 26.20 | 3.401 | 38 |
| 29.28 | 3.050 | 46 |
| 30.98 | 2.887 | 48 |
| 32.79 | 2.731 | 100 |
| 35.82 | 2.507 | 42 |
| 45.72 | 1.984 | 49 |

Structural model:
```
data_TbPrSmEr2
_chemical_formula_sum 'Tb2 Pr2 Sm2 Er4'
_space_group_name_H-M_alt 'P 1'
_space_group_IT_number 1
_cell_length_a 7.145
_cell_length_b 7.145
_cell_length_c 7.185
_cell_angle_alpha 90.00
_cell_angle_beta 90.00
_cell_angle_gamma 107.81
loop_
_space_group_symop_operation_xyz
'x,y,z'
loop_
_atom_site_label
_atom_site_type_symbol
_atom_site_fract_x
_atom_site_fract_y
_atom_site_fract_z
Tb1 Tb 0.221 0.779 0.750
Tb2 Tb 0.779 0.221 0.250
Pr1 Pr 0.230 0.770 0.250
Pr2 Pr 0.770 0.230 0.750
Sm1 Sm 0.498 0.502 0.750
Sm2 Sm 0.502 0.498 0.250
Er1 Er 0.187 0.187 0.000
Er2 Er 0.187 0.187 0.500
Er3 Er 0.813 0.813 0.000
Er4 Er 0.813 0.813 0.500
```